1.
The following is a computed powder XRD pattern of BaNd2Tl9. It was derived from a structure optimized by DFT (GGA-PBE), using CuKα.
Lines closer than 0.1° are merged.

Principal peaks in the range 10 to 90 degrees two-theta, low angle first:
2θ = 31.41°, intensity 100
2θ = 36.43°, intensity 50
2θ = 52.47°, intensity 35
2θ = 62.44°, intensity 41
2θ = 65.56°, intensity 12
2θ = 85.88°, intensity 16
2θ = 88.64°, intensity 11
2θ = 88.79°, intensity 4

Structure:
a = 4.9356 Å, b = 4.9356 Å, c = 14.7791 Å
α = 90.00°, β = 90.00°, γ = 90.00°
Fractional coordinates of all 12 atoms:
Ba (0.0000, 0.0000, 0.0000)
Nd (0.0000, 0.0000, 0.3439)
Nd (0.0000, 0.0000, 0.6561)
Tl (0.0000, 0.5000, 0.1784)
Tl (0.0000, 0.5000, 0.5000)
Tl (0.0000, 0.5000, 0.8216)
Tl (0.5000, 0.0000, 0.1784)
Tl (0.5000, 0.0000, 0.5000)
Tl (0.5000, 0.0000, 0.8216)
Tl (0.5000, 0.5000, 0.0000)
Tl (0.5000, 0.5000, 0.3349)
Tl (0.5000, 0.5000, 0.6651)

---

2.
The following is a computed powder XRD pattern of Ba3Ni4. It was derived from a structure optimized by DFT (GGA-PBE), using CuKα.
Lines closer than 0.1° are merged.

Principal peaks in the range 10 to 90 degrees two-theta, low angle first:
2θ = 20.61°, intensity 20
2θ = 27.20°, intensity 93
2θ = 31.45°, intensity 41
2θ = 34.37°, intensity 100
2θ = 44.24°, intensity 25
2θ = 48.08°, intensity 38
2θ = 56.60°, intensity 23
2θ = 60.43°, intensity 19

Structure:
a = 7.5704 Å, b = 7.5704 Å, c = 4.3102 Å
α = 90.00°, β = 90.00°, γ = 120.00°
Fractional coordinates of all 7 atoms:
Ba (0.0000, 0.5000, 0.0000)
Ba (0.5000, 0.0000, 0.0000)
Ba (0.5000, 0.5000, 0.0000)
Ni (0.0000, 0.0000, 0.2496)
Ni (0.0000, 0.0000, 0.7504)
Ni (0.3333, 0.6667, 0.5000)
Ni (0.6667, 0.3333, 0.5000)

---

3.
The following is a computed powder XRD pattern of Ba3Ni. It was derived from a structure optimized by DFT (GGA-PBE), using CuKα.
Lines closer than 0.1° are merged.

Principal peaks in the range 10 to 90 degrees two-theta, low angle first:
2θ = 23.72°, intensity 100
2θ = 25.05°, intensity 47
2θ = 27.60°, intensity 41
2θ = 31.12°, intensity 19
2θ = 32.77°, intensity 41
2θ = 36.69°, intensity 28
2θ = 43.36°, intensity 39
2θ = 47.31°, intensity 26

Structure:
a = 7.6211 Å, b = 7.6211 Å, c = 4.4748 Å
α = 90.00°, β = 90.00°, γ = 129.82°
Fractional coordinates of all 4 atoms:
Ba (0.0000, 0.0000, 0.0000)
Ba (0.3497, 0.6503, 0.5000)
Ba (0.6503, 0.3497, 0.5000)
Ni (0.5000, 0.5000, 0.0000)